The following is a calculated X-ray powder pattern of Hf4CuNi. It was derived from a crystal structure in Alexandria, relaxed with PBE, using CuKα.
Lines closer than 0.1° are merged.

Structure:
Cell: 3.187 3.187 10.889 Å, 90.00 90.00 90.00°
Space group P4/mmm (No. 123)
One atom of each set of equivalent atoms:
Hf (0.000, 0.000, 0.149) x2
Hf (0.500, 0.500, 0.340) x2
Cu (0.000, 0.000, 0.500) x1
Ni (0.500, 0.500, 0.000) x1

Most intense lines, 10° ≤ 2θ ≤ 80°, sorted by position:
d [Å]	2theta	I (rel.)
3.059	29.20	20
2.722	32.90	8
2.395	37.56	100
2.253	40.01	44
1.815	50.27	9
1.736	52.73	8
1.593	57.87	15
1.413	66.11	20
1.398	66.94	6
1.327	71.06	31

The following is a calculated X-ray powder pattern of HfNpCu. It was derived from a crystal structure in Alexandria, relaxed with PBE, using CuKα.
Lines closer than 0.1° are merged.

Structure:
Cell: 8.120 11.556 11.717 Å, 90.00 90.00 90.00°
Space group Fddd (No. 70, origin choice 2)
One atom of each set of equivalent atoms:
Hf (0.125, 0.257, 0.125) x16
Np (0.000, 0.000, 0.500) x16
Cu (0.125, 0.125, 0.303) x16

Most intense lines, 10° ≤ 2θ ≤ 80°, sorted by position:
d [Å]	2theta	I (rel.)
3.367	26.47	41
2.890	30.95	100
2.598	34.52	64
2.571	34.89	44
2.210	40.83	33
2.184	41.33	33
2.176	41.50	21
1.932	47.04	21
1.668	55.04	33
1.445	64.49	36

The following is a calculated X-ray powder pattern of Hf4CuP. It was derived from a crystal structure in Alexandria, relaxed with PBE, using CuKα.
Lines closer than 0.1° are merged.

Structure:
Cell: 6.481 6.481 5.221 Å, 90.00 90.00 90.00°
Space group P4/mcc (No. 124)
One atom of each set of equivalent atoms:
Hf (0.154, 0.340, 0.000) x8
Cu (0.500, 0.500, 0.250) x2
P (0.000, 0.000, 0.250) x2

Most intense lines, 10° ≤ 2θ ≤ 80°, sorted by position:
d [Å]	2theta	I (rel.)
2.610	34.35	17
2.534	35.42	100
2.268	39.74	12
2.050	44.19	21
2.033	44.57	13
1.612	57.14	7
1.505	61.62	12
1.492	62.22	20
1.377	68.11	9
1.319	71.56	13

The following is a calculated X-ray powder pattern of HfCu5Pd6. It was derived from a crystal structure in Alexandria, relaxed with PBE, using CuKα.
Lines closer than 0.1° are merged.

Structure:
Cell: 4.508 5.809 6.713 Å, 90.00 99.93 90.00°
Space group P2/m (No. 10)
One atom of each set of equivalent atoms:
Hf (0.000, 0.000, 0.000) x1
Cu (0.000, 0.500, 0.000) x1
Cu (0.335, 0.500, 0.670) x2
Cu (0.338, 0.000, 0.666) x2
Pd (0.166, 0.252, 0.337) x4
Pd (0.500, 0.257, 0.000) x2

Most intense lines, 10° ≤ 2θ ≤ 80°, sorted by position:
d [Å]	2theta	I (rel.)
2.223	40.57	51
2.215	40.74	100
2.204	40.94	49
2.053	44.11	79
1.712	53.54	22
1.452	64.15	25
1.319	71.55	18
1.311	72.06	17
1.216	78.65	27
1.213	78.94	14

The following is a calculated X-ray powder pattern of HfCuPd. It was derived from a crystal structure in Alexandria, relaxed with PBE, using CuKα.
Lines closer than 0.1° are merged.

Structure:
Cell: 4.4029 4.4029 2.9206 Å, 90.00 90.00 120.00°
Space group P-6m2 (No. 187)
One atom of each set of equivalent atoms:
Hf (0.0000, 0.0000, 0.0000) x1
Cu (0.6667, 0.3333, 0.5000) x1
Pd (0.3333, 0.6667, 0.5000) x1

Most intense lines, 10° ≤ 2θ ≤ 80°, sorted by position:
d [Å]	2theta	I (rel.)
3.813	23.33	22
2.319	38.84	100
2.201	41.00	75
1.906	47.70	4
1.596	57.75	31
1.460	63.73	7
1.441	64.68	3
1.292	73.24	31
1.271	74.68	12
1.217	78.62	22

The following is a calculated X-ray powder pattern of HfCu2Pd5. It was derived from a crystal structure in Alexandria, relaxed with PBE, using CuKα.
Lines closer than 0.1° are merged.

Structure:
Cell: 6.685 6.685 11.080 Å, 90.00 90.00 90.00°
Space group I4/mcm (No. 140)
One atom of each set of equivalent atoms:
Hf (0.000, 0.000, 0.250) x4
Cu (0.140, 0.360, 0.000) x8
Pd (0.000, 0.000, 0.000) x4
Pd (0.151, 0.349, 0.343) x16

Most intense lines, 10° ≤ 2θ ≤ 80°, sorted by position:
d [Å]	2theta	I (rel.)
2.390	37.64	32
2.364	38.07	16
2.324	38.75	100
2.133	42.38	26
2.114	42.77	73
1.798	50.78	8
1.495	62.09	12
1.431	65.19	9
1.370	68.51	10
1.239	76.94	9

The following is a calculated X-ray powder pattern of HfCu4Pd7. It was derived from a crystal structure in Alexandria, relaxed with PBE, using CuKα.
Lines closer than 0.1° are merged.

Structure:
Cell: 12.003 4.804 7.616 Å, 90.00 121.37 90.00°
Space group C2/m (No. 12)
One atom of each set of equivalent atoms:
Hf (0.000, 0.000, 0.000) x2
Cu (0.035, 0.500, 0.696) x4
Cu (0.188, 0.500, 0.355) x4
Pd (0.000, 0.500, 0.000) x2
Pd (0.070, 0.000, 0.405) x4
Pd (0.203, 0.000, 0.878) x4
Pd (0.248, 0.500, 0.721) x4

Most intense lines, 10° ≤ 2θ ≤ 80°, sorted by position:
d [Å]	2theta	I (rel.)
2.562	35.02	33
2.402	37.44	100
2.372	37.93	38
2.365	38.04	36
2.263	39.83	36
2.229	40.47	52
2.136	42.31	23
2.099	43.09	71
1.688	54.36	27
1.647	55.81	27

The following is a calculated X-ray powder pattern of HfCu6Pd12. It was derived from a crystal structure in Alexandria, relaxed with PBE, using CuKα.
Lines closer than 0.1° are merged.

Structure:
Cell: 11.9436 11.9436 6.7797 Å, 90.00 90.00 120.00°
Space group R-3 (No. 148, hexagonal axes)
One atom of each set of equivalent atoms:
Hf (0.0000, 0.0000, 0.0000) x3
Cu (0.0344, 0.2801, 0.3264) x18
Pd (0.0129, 0.1408, 0.6649) x18
Pd (0.0660, 0.5607, 0.6713) x18

Most intense lines, 10° ≤ 2θ ≤ 80°, sorted by position:
d [Å]	2theta	I (rel.)
5.972	14.83	6
5.670	15.63	3
3.387	26.32	3
2.642	33.93	3
2.561	35.04	2
2.260	39.89	35
2.240	40.27	100
1.944	46.73	64
1.379	67.97	20
1.370	68.48	21